Diffraction record for Cs3Ba. The XRD peak list is computed, not measured: it uses DFT lattice parameters and positions (PBE) and Cu Kα, 1.54184 Å.

Most intense lines, 15° ≤ 2θ ≤ 90°, most intense first:
21.1 deg, I = 100, (1 1 2)
24.7 deg, I = 34, (2 0 0)
41.4 deg, I = 34, (3 1 2)
34.6 deg, I = 28, (2 0 4)
23.9 deg, I = 19, (0 0 4)
40.4 deg, I = 18, (1 1 6)
43.0 deg, I = 15, (2 2 4)
54.6 deg, I = 15, (3 1 6)
55.5 deg, I = 14, (3 3 2)
35.2 deg, I = 13, (2 2 0)

Structural model:
Unit cell a=7.2063 b=7.2063 c=14.9124 alpha=90.00 beta=90.00 gamma=90.00
Space group I4/mmm (No. 139)
One atom of each set of equivalent atoms:
Cs  0.0000  0.0000  0.0000 x2
Cs  0.0000  0.5000  0.2500 x4
Ba  0.0000  0.0000  0.5000 x2

=====

Diffraction record for CsBa. The XRD peak list is computed, not measured: it uses DFT lattice parameters and positions (PBE) and Cu Kα, 1.54184 Å.

Most intense lines, 15° ≤ 2θ ≤ 90°, most intense first:
22.7 deg, I = 100, (1 0 1)
27.0 deg, I = 80, (1 0 3)
20.4 deg, I = 59, (0 0 4)
44.2 deg, I = 47, (1 1 4)
22.1 deg, I = 38, (1 0 0)
38.7 deg, I = 34, (1 1 0)
30.3 deg, I = 34, (1 0 4)
34.1 deg, I = 27, (1 0 5)
42.8 deg, I = 26, (1 0 7)
63.2 deg, I = 24, (1 0 11)

Structural model:
Unit cell a=4.6479 b=4.6479 c=17.3770 alpha=90.00 beta=90.00 gamma=120.00
Space group P6_3mc (No. 186)
One atom of each set of equivalent atoms:
Cs  0.3333  0.6667  0.0000 x2
Ba  0.3333  0.6667  0.7416 x2

=====

Diffraction record for CsBaErO3. The XRD peak list is computed, not measured: it uses DFT lattice parameters and positions (PBE) and Cu Kα, 1.54184 Å.

Most intense lines, 15° ≤ 2θ ≤ 90°, most intense first:
28.4 deg, I = 100, (0 0 2)
27.4 deg, I = 24, (2 0 0)
50.2 deg, I = 16, (1 3 -3)
39.7 deg, I = 14, (2 0 -2)
39.9 deg, I = 11, (2 0 2)
49.0 deg, I = 10, (3 3 -1)
49.1 deg, I = 9, (3 3 1)
50.3 deg, I = 7, (2 6 0)
50.8 deg, I = 7, (0 6 2)
58.6 deg, I = 7, (0 0 4)

Structural model:
Unit cell a=6.5115 b=13.1177 c=6.3037 alpha=90.00 beta=90.21 gamma=90.00
Space group C2/c (No. 15)
One atom of each set of equivalent atoms:
Cs  0.0000  0.2473  0.2500 x4
Ba  0.0000  0.4149  0.7500 x4
Er  0.0000  0.0564  0.7500 x4
O  0.0000  0.2171  0.7500 x4
O  0.2213  0.0007  0.5000 x8

=====

Diffraction record for CsBaIF2. The XRD peak list is computed, not measured: it uses DFT lattice parameters and positions (PBE) and Cu Kα, 1.54184 Å.

Most intense lines, 15° ≤ 2θ ≤ 90°, most intense first:
29.8 deg, I = 100, (1 0 2)
25.0 deg, I = 74, (1 1 0)
47.1 deg, I = 55, (2 1 2)
21.3 deg, I = 45, (1 0 1)
35.6 deg, I = 44, (2 0 0)
17.6 deg, I = 23, (1 0 0)
34.8 deg, I = 16, (1 1 2)
72.2 deg, I = 16, (3 2 2)
41.9 deg, I = 15, (2 1 1)
51.3 deg, I = 15, (2 2 0)

Structural model:
Unit cell a=5.0407 b=5.0407 c=7.4548 alpha=90.00 beta=90.00 gamma=90.00
Space group P4mm (No. 99)
One atom of each set of equivalent atoms:
Cs  0.0000  0.0000  0.0000 x1
Ba  0.5000  0.5000  0.3277 x1
I  0.5000  0.5000  0.7943 x1
F  0.0000  0.5000  0.2476 x2

=====

Diffraction record for CsBaInF6. The XRD peak list is computed, not measured: it uses DFT lattice parameters and positions (PBE) and Cu Kα, 1.54184 Å.

Most intense lines, 15° ≤ 2θ ≤ 90°, most intense first:
26.3 deg, I = 100, (0 1 3)
24.7 deg, I = 97, (1 2 1)
25.4 deg, I = 96, (2 1 1)
44.8 deg, I = 75, (2 2 4)
27.1 deg, I = 66, (2 0 2)
22.0 deg, I = 36, (1 1 2)
40.0 deg, I = 34, (3 2 1)
52.2 deg, I = 34, (4 1 3)
39.9 deg, I = 33, (0 3 3)
44.3 deg, I = 27, (4 0 0)

Structural model:
Unit cell a=8.1823 b=8.5954 c=11.0540 alpha=90.00 beta=90.00 gamma=90.00
Space group Imma (No. 74)
One atom of each set of equivalent atoms:
Cs  0.0000  0.2500  0.0983 x4
Ba  0.0000  0.0000  0.5000 x4
In  0.2500  0.2500  0.7500 x4
F  0.0000  0.2500  0.3751 x4
F  0.0000  0.2500  0.6818 x4
F  0.2168  0.0797  0.8814 x16

=====

Diffraction record for CsBaMg2F7. The XRD peak list is computed, not measured: it uses DFT lattice parameters and positions (PBE) and Cu Kα, 1.54184 Å.

Most intense lines, 15° ≤ 2θ ≤ 90°, most intense first:
27.2 deg, I = 100, (1 0 2)
35.5 deg, I = 45, (1 1 2)
15.3 deg, I = 42, (0 0 2)
31.8 deg, I = 34, (1 1 0)
38.5 deg, I = 31, (1 0 4)
53.9 deg, I = 30, (2 1 2)
45.6 deg, I = 28, (2 0 0)
44.9 deg, I = 27, (1 1 4)
22.3 deg, I = 21, (1 0 0)
61.1 deg, I = 15, (2 1 4)

Structural model:
Unit cell a=3.9810 b=3.9810 c=11.5745 alpha=90.00 beta=90.00 gamma=90.00
Space group P4/mmm (No. 123)
One atom of each set of equivalent atoms:
Cs  0.0000  0.0000  0.0000 x1
Ba  0.0000  0.0000  0.5000 x1
Mg  0.5000  0.5000  0.2926 x2
F  0.0000  0.5000  0.3310 x4
F  0.5000  0.5000  0.1307 x2
F  0.5000  0.5000  0.5000 x1